This entry pairs a crystal structure of Rb6Mn3Cl14 with its theoretical X-ray powder pattern. Radiation: Cu Kα X-rays. Structure: the PBE geometry in Alexandria.
No peak broadening, texture or thermal motion is included.

```
data_Rb6Mn3Cl14
_cell_length_a 11.6346
_cell_length_b 11.6346
_cell_length_c 6.9367
_cell_angle_alpha 90.00
_cell_angle_beta 90.00
_cell_angle_gamma 120.00
_symmetry_space_group_name_H-M 'P 3'
_symmetry_Int_Tables_number 143
_symmetry_space_group_name_Hall 'P 3'
loop_
_atom_site_label
_atom_site_fract_x
_atom_site_fract_y
_atom_site_fract_z
_atom_site_occupancy
Rb1 0.0524 0.4628 0.0000 1
Rb2 0.2855 0.2050 0.4778 1
Mn1 0.0000 0.0000 0.0528 1
Mn2 0.3333 0.6667 0.5672 1
Mn3 0.6667 0.3333 0.2198 1
Cl1 0.0000 0.0000 0.7144 1
Cl2 0.0656 0.2102 0.1853 1
Cl3 0.1799 0.7230 0.6954 1
Cl4 0.3333 0.6667 0.2283 1
Cl5 0.4825 0.2728 0.0307 1
Cl6 0.5444 0.1489 0.4114 1
```

Principal peaks in the range 5° ≤ 2θ ≤ 70°, by angle:
2theta  I_rel
15.5  40
19.9  57
21.8  100
26.7  47
29.6  57
31.3  26
32.0  31
34.6  60
35.0  55
41.1  27
41.5  25
57.1  28